1.
Calculated X-ray diffraction stick pattern of Tb6Sm4Er19 for Cu Kα (weighted mean of Kα1 and Kα2), from DFT lattice parameters and positions (PBE).

Structural model:
Unit cell a=10.7220 b=10.7220 c=10.7220 alpha=109.47 beta=109.47 gamma=109.47
Fractional coordinates of all 29 atoms:
Tb 0.1266 0.5000 0.6266
Tb 0.3734 0.8734 0.5000
Tb 0.5000 0.3734 0.8734
Tb 0.5000 0.6266 0.1266
Tb 0.6266 0.1266 0.5000
Tb 0.8734 0.5000 0.3734
Sm 0.0000 0.0000 0.3589
Sm 0.0000 0.3589 0.0000
Sm 0.3589 0.0000 0.0000
Sm 0.6411 0.6411 0.6411
Er 0.0000 0.0000 0.0000
Er 0.0000 0.2601 0.2601
Er 0.0000 0.7399 0.7399
Er 0.0153 0.2145 0.6754
Er 0.1992 0.9847 0.6601
Er 0.2145 0.6754 0.0153
Er 0.2601 0.0000 0.2601
Er 0.2601 0.2601 0.0000
Er 0.3246 0.5391 0.3399
Er 0.3399 0.3246 0.5391
Er 0.4609 0.7855 0.8008
Er 0.5391 0.3399 0.3246
Er 0.6601 0.1992 0.9847
Er 0.6754 0.0153 0.2145
Er 0.7399 0.0000 0.7399
Er 0.7399 0.7399 0.0000
Er 0.7855 0.8008 0.4609
Er 0.8008 0.4609 0.7855
Er 0.9847 0.6601 0.1992

Most intense lines, 2θ from 15° to 90°, in order of rising 2θ:
Position (°2θ)  d [Å]  I_rel
26.95  3.309  50
28.85  3.095  63
30.64  2.918  100
33.96  2.640  18
35.52  2.527  44
37.02  2.428  73
42.58  2.123  20
49.96  1.825  17
52.25  1.751  18
54.46  1.685  26
60.78  1.524  29
61.79  1.501  22



2.
Calculated X-ray diffraction stick pattern of Tb3Sm5Er for Cu Kα (weighted mean of Kα1 and Kα2), from DFT lattice parameters and positions (PBE).

Structural model:
Unit cell a=8.8715 b=8.8715 c=11.5561 alpha=108.59 beta=108.59 gamma=44.64
Fractional coordinates of all 18 atoms:
Tb 0.0000 0.0000 0.0000
Tb 0.0000 0.0000 0.5000
Tb 0.1602 0.3626 0.6298
Tb 0.3626 0.1602 0.1298
Tb 0.6374 0.8398 0.8702
Tb 0.8398 0.6374 0.3702
Sm 0.0785 0.2667 0.8494
Sm 0.2667 0.0785 0.3494
Sm 0.3143 0.6857 0.2500
Sm 0.3905 0.3905 0.4505
Sm 0.3905 0.3905 0.9505
Sm 0.6095 0.6095 0.0495
Sm 0.6095 0.6095 0.5495
Sm 0.6857 0.3143 0.7500
Sm 0.7333 0.9215 0.6506
Sm 0.9215 0.7333 0.1506
Er 0.2350 0.7650 0.7500
Er 0.7650 0.2350 0.2500

Most intense lines, 2θ from 15° to 90°, in order of rising 2θ:
Position (°2θ)  d [Å]  I_rel
23.09  3.852  10
28.95  3.084  10
30.80  2.903  36
30.97  2.888  100
31.25  2.863  66
31.93  2.802  12
32.83  2.728  16
33.05  2.710  13
35.39  2.536  12
35.52  2.527  14
38.46  2.341  12
55.20  1.664  19



3.
Calculated X-ray diffraction stick pattern of Tb3Sm2Er9 for Cu Kα (weighted mean of Kα1 and Kα2), from DFT lattice parameters and positions (PBE).

Structural model:
Unit cell a=5.3654 b=8.2921 c=10.5578 alpha=97.43 beta=100.74 gamma=98.09
Fractional coordinates of all 14 atoms:
Tb 0.0000 0.0000 0.0000
Tb 0.2907 0.4060 0.6676
Tb 0.7069 0.5955 0.3328
Sm 0.4820 0.0196 0.7594
Sm 0.5185 0.9798 0.2411
Er 0.0866 0.6317 0.1371
Er 0.1077 0.3042 0.2988
Er 0.3232 0.7132 0.4885
Er 0.4793 0.6897 0.9356
Er 0.5194 0.3104 0.0654
Er 0.6741 0.2899 0.5116
Er 0.8901 0.6961 0.7022
Er 0.9107 0.3673 0.8624
Er 0.9938 0.0005 0.5039

Most intense lines, 2θ from 15° to 90°, in order of rising 2θ:
Position (°2θ)  d [Å]  I_rel
26.98  3.305  12
29.78  3.000  16
30.73  2.909  30
31.00  2.885  62
31.19  2.868  100
33.16  2.701  34
33.78  2.653  25
34.15  2.626  15
35.03  2.561  24
36.78  2.443  13
52.93  1.730  23
54.03  1.697  11



4.
Calculated X-ray diffraction stick pattern of Tb7Sm2Er for Cu Kα (weighted mean of Kα1 and Kα2), from DFT lattice parameters and positions (PBE).

Structural model:
Unit cell a=14.7777 b=14.7777 c=3.5066 alpha=90.00 beta=90.00 gamma=154.52
Fractional coordinates of all 10 atoms:
Tb 0.0000 0.0000 0.0000
Tb 0.1562 0.3522 0.0000
Tb 0.3140 0.6860 0.5000
Tb 0.3522 0.1562 0.0000
Tb 0.6478 0.8438 0.0000
Tb 0.6860 0.3140 0.5000
Tb 0.8438 0.6478 0.0000
Sm 0.2072 0.7928 0.0000
Sm 0.7928 0.2072 0.0000
Er 0.5000 0.5000 0.5000

Most intense lines, 2θ from 15° to 90°, in order of rising 2θ:
Position (°2θ)  d [Å]  I_rel
29.08  3.070  43
30.10  2.969  67
31.03  2.882  77
31.59  2.832  39
32.90  2.722  100
33.22  2.697  71
39.78  2.266  29
40.53  2.226  25
52.00  1.759  24
56.45  1.630  27
61.42  1.510  25
63.26  1.470  23